Calculated XRD peak list of Li3TiCr3O8 for Cu Kα, from a structure optimized by DFT (PBE+U).

Principal peaks in the range 2θ = 15–90°, sorted by position:
- hkl 0 0 1, 2θ 18.10, d = 4.902 Å, intensity 100.0
- hkl 4 0 -1, 2θ 35.24, d = 2.547 Å, intensity 11.7
- hkl 2 2 -1, 2θ 35.59, d = 2.522 Å, intensity 24.3
- hkl 4 0 0, 2θ 42.47, d = 2.128 Å, intensity 24.2
- hkl 2 2 -2, 2θ 43.19, d = 2.095 Å, intensity 46.4
- hkl 2 2 1, 2θ 46.80, d = 1.941 Å, intensity 6.6
- hkl 2 2 -3, 2θ 56.90, d = 1.618 Å, intensity 9.2
- hkl 2 2 2, 2θ 61.85, d = 1.500 Å, intensity 12.1
- hkl 6 2 -2, 2θ 62.53, d = 1.485 Å, intensity 18.7
- hkl 0 4 0, 2θ 62.89, d = 1.478 Å, intensity 6.3
- hkl 0 4 1, 2θ 66.01, d = 1.415 Å, intensity 8.4
- hkl 4 4 0, 2θ 78.86, d = 1.214 Å, intensity 5.6

Cell and atoms:
```
data_Li3TiCr3O8
_symmetry_space_group_name_H-M 'C 1 2/m 1'
_symmetry_Int_Tables_number 12
_symmetry_space_group_name_Hall '-C 2y'
_cell_length_a 10.3134
_cell_length_b 5.9107
_cell_length_c 5.9389
_cell_angle_alpha 90.00
_cell_angle_beta 124.37
_cell_angle_gamma 90.00
loop_
_atom_site_label
_atom_site_fract_x
_atom_site_fract_y
_atom_site_fract_z
Li1 0.0000 0.0000 0.0000
Li2 0.2500 0.2500 0.0000
Ti1 0.0000 0.5000 0.5000
Cr1 0.0000 0.0000 0.5000
Cr2 0.2500 0.2500 0.5000
O1 0.0101 0.2529 0.2838
O2 0.2335 0.0000 0.7136
O3 0.2373 0.5000 0.7250
```